[1]
BePtW: theoretical powder XRD pattern (Cu Kα, 1.54184 Å), based on a crystal structure in Alexandria, relaxed with PBE.

Cell and atoms:
```
data_BePtW
_space_group_name_H-M_alt 'P 4 m m'
_space_group_IT_number 99
_cell_length_a 2.765
_cell_length_b 2.765
_cell_length_c 10.308
_cell_angle_alpha 90.00
_cell_angle_beta 90.00
_cell_angle_gamma 90.00
loop_
_space_group_symop_operation_xyz
'x,y,z'
'-y,x,z'
'-x,-y,z'
'y,-x,z'
'-x,y,z'
'y,x,z'
'x,-y,z'
'-y,-x,z'
loop_
_atom_site_label
_atom_site_type_symbol
_atom_site_fract_x
_atom_site_fract_y
_atom_site_fract_z
Be1 Be 0.000 0.000 0.000
Be2 Be 0.000 0.000 0.279
Pt1 Pt 0.500 0.500 0.143
Pt2 Pt 0.500 0.500 0.856
W1 W 0.000 0.000 0.658
W2 W 0.500 0.500 0.440
```

Principal peaks in the range 2θ from 10° to 80°, sorted by position:
| two_theta | I (rel.) | index |
| --- | --- | --- |
| 32.38 | 332 | 1 0 0 |
| 33.55 | 314 | 1 0 1 |
| 34.81 | 288 | 0 0 4 |
| 36.89 | 328 | 1 0 2 |
| 41.94 | 1000 | 1 0 3 |
| 46.44 | 516 | 1 1 0 |



[2]
YBePt3: theoretical powder XRD pattern (Cu Kα, 1.54184 Å), based on a crystal structure in Alexandria, relaxed with PBE.

Cell and atoms:
```
data_YBePt3
_space_group_name_H-M_alt 'R 3 m'
_space_group_IT_number 160
_space_group_name_Hall 'R 3 -2"'
_cell_length_a 6.4970
_cell_length_b 6.4970
_cell_length_c 6.8646
_cell_angle_alpha 90.00
_cell_angle_beta 90.00
_cell_angle_gamma 120.00
loop_
_atom_site_label
_atom_site_type_symbol
_atom_site_fract_x
_atom_site_fract_y
_atom_site_fract_z
Y1 Y 0.0000 0.0000 0.0000
Be1 Be 0.0000 0.0000 0.5760
Pt1 Pt 0.0337 0.5168 0.0172
```

Principal peaks in the range 2θ from 10° to 80°, sorted by position:
| two_theta | I (rel.) | index |
| --- | --- | --- |
| 34.45 | 1000 | 0 2 1 |
| 39.38 | 251 | 0 0 3 |
| 41.50 | 618 | 2 0 2 |
| 56.67 | 215 | 2 2 0 |
| 63.50 | 172 | 0 2 4 |
| 71.19 | 210 | 2 2 3 |



[3]
YBePt3: theoretical powder XRD pattern (Cu Kα, 1.54184 Å), based on a crystal structure in Alexandria, relaxed with PBE.

Cell and atoms:
```
data_YBePt3
_space_group_name_H-M_alt 'P 1'
_space_group_IT_number 1
_cell_length_a 4.417
_cell_length_b 4.608
_cell_length_c 8.538
_cell_angle_alpha 89.98
_cell_angle_beta 89.98
_cell_angle_gamma 79.00
loop_
_space_group_symop_operation_xyz
'x,y,z'
loop_
_atom_site_label
_atom_site_type_symbol
_atom_site_fract_x
_atom_site_fract_y
_atom_site_fract_z
Y1 Y 0.000 0.000 0.000
Y2 Y 0.024 0.090 0.500
Be1 Be 0.626 0.500 0.769
Be2 Be 0.626 0.503 0.230
Pt1 Pt 0.094 0.589 0.721
Pt2 Pt 0.094 0.590 0.279
Pt3 Pt 0.396 0.415 0.000
Pt4 Pt 0.529 0.029 0.751
Pt5 Pt 0.530 0.030 0.250
Pt6 Pt 0.595 0.638 0.500
```

Principal peaks in the range 2θ from 10° to 80°, sorted by position:
| two_theta | I (rel.) | index |
| --- | --- | --- |
| 27.69 | 180 | 1 1 -1 |
| 33.22 | 660 | 1 1 2 |
| 37.79 | 1000 | 1 -1 2 |
| 39.86 | 210 | 0 2 0 |
| 41.67 | 195 | 2 0 0 |
| 42.35 | 315 | 0 0 4 |



[4]
YBePt3: theoretical powder XRD pattern (Cu Kα, 1.54184 Å), based on a crystal structure in Alexandria, relaxed with PBE.

Cell and atoms:
```
data_YBePt3
_space_group_name_H-M_alt 'P -6 m 2'
_space_group_IT_number 187
_space_group_name_Hall 'P -6 2'
_cell_length_a 5.4169
_cell_length_b 5.4169
_cell_length_c 3.3299
_cell_angle_alpha 90.00
_cell_angle_beta 90.00
_cell_angle_gamma 120.00
loop_
_atom_site_label
_atom_site_type_symbol
_atom_site_fract_x
_atom_site_fract_y
_atom_site_fract_z
Y1 Y 0.0000 0.0000 0.0000
Be1 Be 0.6667 0.3333 0.0000
Pt1 Pt 0.0081 0.5040 0.5000
```

Principal peaks in the range 2θ from 10° to 80°, sorted by position:
| two_theta | I (rel.) | index |
| --- | --- | --- |
| 26.77 | 441 | 0 0 1 |
| 32.99 | 571 | 1 0 1 |
| 38.38 | 1000 | 2 0 0 |
| 43.05 | 272 | 1 1 1 |
| 47.41 | 602 | 2 0 1 |
| 69.20 | 359 | 2 0 2 |



[5]
BeZnPt: theoretical powder XRD pattern (Cu Kα, 1.54184 Å), based on a crystal structure in Alexandria, relaxed with PBE.

Cell and atoms:
```
data_BeZnPt
_space_group_name_H-M_alt 'P 1 21/m 1'
_space_group_IT_number 11
_cell_length_a 3.630
_cell_length_b 3.758
_cell_length_c 5.888
_cell_angle_alpha 90.00
_cell_angle_beta 107.50
_cell_angle_gamma 90.00
loop_
_space_group_symop_operation_xyz
'x,y,z'
'-x,-y,-z'
'-x,y+1/2,-z'
'x,-y+1/2,z'
loop_
_atom_site_label
_atom_site_type_symbol
_atom_site_fract_x
_atom_site_fract_y
_atom_site_fract_z
Be1 Be 0.249 0.250 0.496
Zn1 Zn 0.412 0.750 0.829
Pt1 Pt 0.117 0.750 0.229
```

Principal peaks in the range 2θ from 10° to 80°, sorted by position:
| two_theta | I (rel.) | index |
| --- | --- | --- |
| 28.58 | 559 | 0 1 1 |
| 31.87 | 631 | 0 0 2 |
| 35.29 | 1000 | 1 1 0 |
| 42.08 | 690 | 1 1 1 |
| 42.32 | 699 | 1 1 -2 |
| 48.45 | 301 | 0 2 0 |



[6]
Zr2Be3ZnPt4: theoretical powder XRD pattern (Cu Kα, 1.54184 Å), based on a crystal structure in Alexandria, relaxed with PBE.

Cell and atoms:
```
data_Zr2Be3ZnPt4
_space_group_name_H-M_alt 'P -4 m 2'
_space_group_IT_number 115
_cell_length_a 3.898
_cell_length_b 3.898
_cell_length_c 9.968
_cell_angle_alpha 90.00
_cell_angle_beta 90.00
_cell_angle_gamma 90.00
loop_
_space_group_symop_operation_xyz
'x,y,z'
'y,-x,-z'
'-x,-y,z'
'-y,x,-z'
'-x,y,z'
'-y,-x,-z'
'x,-y,z'
'y,x,-z'
loop_
_atom_site_label
_atom_site_type_symbol
_atom_site_fract_x
_atom_site_fract_y
_atom_site_fract_z
Zr1 Zr 0.000 0.500 0.239
Be1 Be 0.000 0.500 0.876
Be2 Be 0.500 0.500 0.500
Zn1 Zn 0.000 0.000 0.500
Pt1 Pt 0.000 0.000 0.000
Pt2 Pt 0.000 0.500 0.654
Pt3 Pt 0.500 0.500 0.000
```

Principal peaks in the range 2θ from 10° to 80°, sorted by position:
| two_theta | I (rel.) | index |
| --- | --- | --- |
| 26.83 | 379 | 0 0 3 |
| 29.08 | 444 | 1 0 2 |
| 33.74 | 535 | 1 1 1 |
| 37.28 | 1000 | 1 1 2 |
| 46.60 | 473 | 2 0 0 |
| 49.30 | 251 | 1 1 4 |



[7]
Zr3Be2Pt5: theoretical powder XRD pattern (Cu Kα, 1.54184 Å), based on a crystal structure in Alexandria, relaxed with PBE.

Cell and atoms:
```
data_Zr3Be2Pt5
_space_group_name_H-M_alt 'P 4/m b m'
_space_group_IT_number 127
_space_group_name_Hall '-P 4 2ab'
_cell_length_a 9.303
_cell_length_b 9.303
_cell_length_c 3.689
_cell_angle_alpha 90.00
_cell_angle_beta 90.00
_cell_angle_gamma 90.00
loop_
_atom_site_label
_atom_site_type_symbol
_atom_site_fract_x
_atom_site_fract_y
_atom_site_fract_z
Zr1 Zr 0.000 0.000 0.000
Zr2 Zr 0.176 0.324 0.000
Be1 Be 0.118 0.618 0.000
Pt1 Pt 0.000 0.500 0.500
Pt2 Pt 0.071 0.787 0.500
```

Principal peaks in the range 2θ from 10° to 80°, sorted by position:
| two_theta | I (rel.) | index |
| --- | --- | --- |
| 24.13 | 577 | 0 0 1 |
| 32.44 | 596 | 2 1 1 |
| 39.17 | 1000 | 3 1 1 |
| 39.96 | 624 | 4 1 0 |
| 42.77 | 445 | 3 2 1 |
| 65.33 | 373 | 4 1 2 |



[8]
PuBe4: theoretical powder XRD pattern (Cu Kα, 1.54184 Å), based on a crystal structure in Alexandria, relaxed with PBE.

Cell and atoms:
```
data_PuBe4
_space_group_name_H-M_alt 'P m -3 m'
_space_group_IT_number 221
_space_group_name_Hall '-P 4 2 3'
_cell_length_a 4.822
_cell_length_b 4.822
_cell_length_c 4.822
_cell_angle_alpha 90.00
_cell_angle_beta 90.00
_cell_angle_gamma 90.00
loop_
_atom_site_label
_atom_site_type_symbol
_atom_site_fract_x
_atom_site_fract_y
_atom_site_fract_z
Pu1 Pu 0.000 0.000 0.000
Be1 Be 0.000 0.000 0.500
Be2 Be 0.500 0.500 0.500
```

Principal peaks in the range 2θ from 10° to 80°, sorted by position:
| two_theta | I (rel.) | index |
| --- | --- | --- |
| 18.40 | 1000 | 1 0 0 |
| 26.14 | 875 | 1 1 0 |
| 32.15 | 276 | 1 1 1 |
| 41.89 | 514 | 2 1 0 |
| 46.11 | 394 | 2 1 1 |
| 57.32 | 262 | 3 0 0 |



[9]
Pu4Be: theoretical powder XRD pattern (Cu Kα, 1.54184 Å), based on a crystal structure in Alexandria, relaxed with PBE.

Cell and atoms:
```
data_Pu4Be
_space_group_name_H-M_alt 'P m -3 m'
_space_group_IT_number 221
_space_group_name_Hall '-P 4 2 3'
_cell_length_a 5.068
_cell_length_b 5.068
_cell_length_c 5.068
_cell_angle_alpha 90.00
_cell_angle_beta 90.00
_cell_angle_gamma 90.00
loop_
_atom_site_label
_atom_site_type_symbol
_atom_site_fract_x
_atom_site_fract_y
_atom_site_fract_z
Pu1 Pu 0.000 0.000 0.000
Pu2 Pu 0.000 0.500 0.500
Be1 Be 0.500 0.500 0.500
```

Principal peaks in the range 2θ from 10° to 80°, sorted by position:
| two_theta | I (rel.) | index |
| --- | --- | --- |
| 30.55 | 1000 | 1 1 1 |
| 35.43 | 525 | 2 0 0 |
| 50.97 | 384 | 2 2 0 |
| 60.60 | 452 | 3 1 1 |
| 63.60 | 134 | 2 2 2 |
| 74.96 | 63 | 4 0 0 |



[10]
Pu3Be2Rh5: theoretical powder XRD pattern (Cu Kα, 1.54184 Å), based on a crystal structure in Alexandria, relaxed with PBE.

Cell and atoms:
```
data_Pu3Be2Rh5
_space_group_name_H-M_alt 'P 4/m b m'
_space_group_IT_number 127
_space_group_name_Hall '-P 4 2ab'
_cell_length_a 9.742
_cell_length_b 9.742
_cell_length_c 3.454
_cell_angle_alpha 90.00
_cell_angle_beta 90.00
_cell_angle_gamma 90.00
loop_
_atom_site_label
_atom_site_type_symbol
_atom_site_fract_x
_atom_site_fract_y
_atom_site_fract_z
Pu1 Pu 0.000 0.000 0.000
Pu2 Pu 0.176 0.324 0.000
Be1 Be 0.117 0.617 0.000
Rh1 Rh 0.000 0.500 0.500
Rh2 Rh 0.071 0.779 0.500
```

Principal peaks in the range 2θ from 10° to 80°, sorted by position:
| two_theta | I (rel.) | index |
| --- | --- | --- |
| 28.96 | 224 | 3 1 0 |
| 33.10 | 769 | 2 1 1 |
| 36.86 | 456 | 2 2 1 |
| 38.08 | 538 | 4 1 0 |
| 39.19 | 1000 | 3 1 1 |
| 41.45 | 299 | 4 2 0 |



[11]
PuBe4Ru: theoretical powder XRD pattern (Cu Kα, 1.54184 Å), based on a crystal structure in Alexandria, relaxed with PBE.

Cell and atoms:
```
data_PuBe4Ru
_space_group_name_H-M_alt 'F -4 3 m'
_space_group_IT_number 216
_space_group_name_Hall 'F -4 2 3'
_cell_length_a 6.608
_cell_length_b 6.608
_cell_length_c 6.608
_cell_angle_alpha 90.00
_cell_angle_beta 90.00
_cell_angle_gamma 90.00
loop_
_atom_site_label
_atom_site_type_symbol
_atom_site_fract_x
_atom_site_fract_y
_atom_site_fract_z
Pu1 Pu 0.000 0.000 0.000
Be1 Be 0.123 0.123 0.623
Ru1 Ru 0.250 0.250 0.250
```

Principal peaks in the range 2θ from 10° to 80°, sorted by position:
| two_theta | I (rel.) | index |
| --- | --- | --- |
| 23.32 | 1000 | 1 1 1 |
| 38.53 | 806 | 2 2 0 |
| 45.53 | 634 | 3 1 1 |
| 61.13 | 228 | 3 3 1 |
| 69.71 | 288 | 4 2 2 |
| 74.63 | 202 | 5 1 1 |



[12]
PuBeRu: theoretical powder XRD pattern (Cu Kα, 1.54184 Å), based on a crystal structure in Alexandria, relaxed with PBE.

Cell and atoms:
```
data_PuBeRu
_space_group_name_H-M_alt 'I m m a'
_space_group_IT_number 74
_space_group_name_Hall '-I 2b 2'
_cell_length_a 4.497
_cell_length_b 5.568
_cell_length_c 7.458
_cell_angle_alpha 90.00
_cell_angle_beta 90.00
_cell_angle_gamma 90.00
loop_
_atom_site_label
_atom_site_type_symbol
_atom_site_fract_x
_atom_site_fract_y
_atom_site_fract_z
Pu1 Pu 0.000 0.250 0.125
Be1 Be 0.250 0.250 0.750
Ru1 Ru 0.000 0.000 0.500
```

Principal peaks in the range 2θ from 10° to 80°, sorted by position:
| two_theta | I (rel.) | index |
| --- | --- | --- |
| 19.90 | 922 | 0 1 1 |
| 35.17 | 1000 | 1 1 2 |
| 39.96 | 932 | 1 2 1 |
| 40.10 | 351 | 2 0 0 |
| 41.51 | 419 | 1 0 3 |
| 45.15 | 271 | 2 1 1 |



[13]
RbBe: theoretical powder XRD pattern (Cu Kα, 1.54184 Å), based on a crystal structure in Alexandria, relaxed with PBE.

Cell and atoms:
```
data_RbBe
_space_group_name_H-M_alt 'I 4/m m m'
_space_group_IT_number 139
_space_group_name_Hall '-I 4 2'
_cell_length_a 13.095
_cell_length_b 13.095
_cell_length_c 4.231
_cell_angle_alpha 90.00
_cell_angle_beta 90.00
_cell_angle_gamma 90.00
loop_
_atom_site_label
_atom_site_type_symbol
_atom_site_fract_x
_atom_site_fract_y
_atom_site_fract_z
Rb1 Rb 0.000 0.252 0.000
Be1 Be 0.244 0.244 0.500
```

Principal peaks in the range 2θ from 10° to 80°, sorted by position:
| two_theta | I (rel.) | index |
| --- | --- | --- |
| 19.17 | 1000 | 2 2 0 |
| 22.08 | 413 | 1 0 1 |
| 25.98 | 584 | 2 1 1 |
| 27.24 | 590 | 4 0 0 |
| 32.49 | 304 | 3 2 1 |
| 40.51 | 261 | 4 3 1 |



[14]
RbBe: theoretical powder XRD pattern (Cu Kα, 1.54184 Å), based on a crystal structure in Alexandria, relaxed with PBE.

Cell and atoms:
```
data_RbBe
_space_group_name_H-M_alt 'P 4/m m m'
_space_group_IT_number 123
_space_group_name_Hall '-P 4 2'
_cell_length_a 12.349
_cell_length_b 12.349
_cell_length_c 4.168
_cell_angle_alpha 90.00
_cell_angle_beta 90.00
_cell_angle_gamma 90.00
loop_
_atom_site_label
_atom_site_type_symbol
_atom_site_fract_x
_atom_site_fract_y
_atom_site_fract_z
Rb1 Rb 0.000 0.250 0.000
Rb2 Rb 0.329 0.329 0.500
Be1 Be 0.085 0.500 0.500
Be2 Be 0.089 0.500 0.000
```

Principal peaks in the range 2θ from 10° to 80°, sorted by position:
| two_theta | I (rel.) | index |
| --- | --- | --- |
| 21.59 | 1000 | 3 0 0 |
| 22.52 | 878 | 1 0 1 |
| 26.02 | 753 | 3 2 0 |
| 26.80 | 681 | 2 1 1 |
| 29.63 | 769 | 2 2 1 |
| 36.21 | 526 | 4 0 1 |